No. 1
This entry pairs a crystal structure of Zn2CuPb with its computed XRD peak list. Radiation: a wavelength of 1.5418 Å. Structure: a cell relaxed with PBE.
Lines closer than 0.1° are merged.

Atomic structure:
Cell lengths 3.3308, 4.0900, 5.6895 Å; angles 90.00, 90.00, 90.00 degrees
Space group Pmm2 (No. 25)
Asymmetric unit:
Zn 0.0000 0.0000 0.0000 x1
Zn 0.5000 0.5000 0.0667 x1
Cu 0.0000 0.5000 0.7267 x1
Pb 0.5000 0.0000 0.4877 x1

Principal peaks in the range 2θ = 5–70°, low angle first:
- (0 1 0), 21.73°, intensity 14
- (0 1 1), 26.83°, intensity 45
- (1 0 1), 31.11°, intensity 35
- (0 0 2), 31.45°, intensity 22
- (1 1 1), 38.27°, intensity 100
- (0 1 2), 38.55°, intensity 36
- (1 0 2), 41.76°, intensity 18
- (0 2 0), 44.29°, intensity 22
- (2 0 0), 55.13°, intensity 26
- (1 1 3), 60.57°, intensity 14

No. 2
This entry pairs a crystal structure of Pm3ErSc2 with its computed XRD peak list. Radiation: a wavelength of 1.5418 Å. Structure: a cell relaxed with PBE.
Lines closer than 0.1° are merged.

Atomic structure:
Cell lengths 14.4752, 9.7363, 5.5019 Å; angles 90.00, 90.00, 90.00 degrees
Space group Cmcm (No. 63)
Asymmetric unit:
Pm 0.0000 0.0917 0.2500 x4
Pm 0.2448 0.1338 0.2500 x8
Er 0.0000 0.2794 0.7500 x4
Sc 0.1035 0.4065 0.2500 x8

Principal peaks in the range 2θ = 5–70°, low angle first:
- (0 2 1), 24.41°, intensity 66
- (4 0 0), 24.60°, intensity 55
- (0 0 2), 32.59°, intensity 98
- (4 2 1), 34.93°, intensity 100
- (3 3 1), 37.17°, intensity 15
- (4 0 2), 41.22°, intensity 29
- (8 2 1), 56.80°, intensity 16
- (4 2 3), 59.62°, intensity 22
- (8 0 2), 61.35°, intensity 18
- (9 3 1), 67.17°, intensity 15